No. 1
Computed X-ray diffraction stick pattern
Compound: SrTb4NdSe8
Radiation: Cu Kα (weighted mean of Kα1 and Kα2)
Structure: DFT lattice parameters and positions (GGA-PBE)

Top 12 peaks for 10° ≤ 2θ ≤ 90°, sorted by position:
2θ/deg, I/Imax
12.63, 23.3
20.57, 16.9
24.14, 31.5
24.30, 100.0
29.36, 92.8
38.32, 23.1
38.49, 53.5
41.84, 75.4
42.17, 76.2
52.22, 17.2
60.92, 23.6
76.87, 23.1

Lattice parameters (Å, degrees): 8.5707 8.5707 21.2349 90.00 90.00 120.00
Space group R3m (No. 160, hexagonal axes)
Inequivalent atoms, fractional coordinates:
Sr: 0.0000 0.0000 0.0000 x3
Tb: 0.0000 0.0000 0.7479 x3
Tb: 0.0046 0.5023 0.8741 x9
Nd: 0.0000 0.0000 0.3715 x3
Se: 0.0000 0.0000 0.1373 x3
Se: 0.0000 0.0000 0.6156 x3
Se: 0.0154 0.5077 0.1281 x9
Se: 0.1820 0.3640 0.9497 x9

=====

No. 2
Computed X-ray diffraction stick pattern
Compound: NdY2Rh4
Radiation: Cu Kα (weighted mean of Kα1 and Kα2)
Structure: DFT lattice parameters and positions (GGA-PBE)

Top 12 peaks for 10° ≤ 2θ ≤ 90°, sorted by position:
2θ/deg, I/Imax
13.11, 8.5
18.77, 11.1
29.83, 9.8
32.59, 5.7
37.88, 100.0
38.08, 49.7
54.35, 8.4
54.95, 16.8
68.28, 16.7
68.68, 33.6
80.96, 10.3
81.45, 5.3

Lattice parameters (Å, degrees): 4.7264 4.7264 6.7524 90.00 90.00 90.00
Space group P4/mmm (No. 123)
Inequivalent atoms, fractional coordinates:
Nd: 0.0000 0.0000 0.0000 x1
Y: 0.0000 0.0000 0.5000 x1
Y: 0.5000 0.5000 0.0000 x1
Rh: 0.0000 0.5000 0.2594 x4

=====

No. 3
Computed X-ray diffraction stick pattern
Compound: AcHg2Pb2
Radiation: Cu Kα (weighted mean of Kα1 and Kα2)
Structure: DFT lattice parameters and positions (GGA-PBE)

Top 12 peaks for 10° ≤ 2θ ≤ 90°, sorted by position:
2θ/deg, I/Imax
31.08, 50.8
31.29, 100.0
33.13, 44.5
33.40, 87.1
46.06, 35.2
46.78, 16.9
54.04, 20.2
58.08, 35.8
58.52, 17.5
59.35, 17.3
65.28, 11.6
70.17, 11.2

Lattice parameters (Å, degrees): 9.2691 5.4084 6.7620 90.00 116.43 90.00
Space group C2/m (No. 12)
Inequivalent atoms, fractional coordinates:
Ac: 0.0000 0.0000 0.0000 x2
Hg: 0.0910 0.5000 0.7735 x4
Pb: 0.2017 0.0000 0.6042 x4

=====

No. 4
Computed X-ray diffraction stick pattern
Compound: CeCo2Si2Os
Radiation: Cu Kα (weighted mean of Kα1 and Kα2)
Structure: DFT lattice parameters and positions (GGA-PBE)

Top 12 peaks for 10° ≤ 2θ ≤ 90°, sorted by position:
2θ/deg, I/Imax
17.11, 13.8
19.40, 59.4
27.58, 100.0
39.39, 64.6
39.98, 97.2
44.27, 15.0
53.43, 14.5
56.94, 22.5
57.38, 66.4
64.41, 17.9
71.83, 16.7
85.15, 21.5

Lattice parameters (Å, degrees): 4.5746 4.5746 5.1833 90.00 90.00 90.00
Space group P4/mmm (No. 123)
Inequivalent atoms, fractional coordinates:
Ce: 0.0000 0.0000 0.0000 x1
Co: 0.5000 0.5000 0.2607 x2
Si: 0.0000 0.5000 0.5000 x2
Os: 0.0000 0.0000 0.5000 x1

=====

No. 5
Computed X-ray diffraction stick pattern
Compound: Ge6OsRh3
Radiation: Cu Kα (weighted mean of Kα1 and Kα2)
Structure: DFT lattice parameters and positions (GGA-PBE)

Top 12 peaks for 10° ≤ 2θ ≤ 90°, sorted by position:
2θ/deg, I/Imax
22.37, 18.2
29.33, 52.6
32.48, 26.5
33.53, 17.8
35.53, 23.9
38.42, 29.6
44.00, 26.7
44.15, 22.5
45.65, 100.0
49.03, 35.1
49.17, 33.7
70.50, 19.4

Lattice parameters (Å, degrees): 6.6191 6.2485 10.5248 90.00 128.77 90.00
Space group P2_1/c (No. 14)
Inequivalent atoms, fractional coordinates:
Ge: 0.0609 0.0107 0.2512 x4
Ge: 0.2182 0.1463 0.5685 x4
Ge: 0.4086 0.6430 0.5610 x4
Os: 0.0000 0.0000 0.0000 x2
Rh: 0.2779 0.6565 0.2504 x4
Rh: 0.5000 0.0000 0.5000 x2

=====

No. 6
Computed X-ray diffraction stick pattern
Compound: PrNd2Si2
Radiation: Cu Kα (weighted mean of Kα1 and Kα2)
Structure: DFT lattice parameters and positions (GGA-PBE)

Top 12 peaks for 10° ≤ 2θ ≤ 90°, sorted by position:
2θ/deg, I/Imax
21.50, 40.0
25.97, 31.9
27.68, 28.7
28.92, 55.1
29.38, 36.5
30.41, 78.8
30.66, 100.0
32.31, 34.8
34.11, 46.6
35.59, 52.9
40.56, 46.0
55.46, 28.2

Lattice parameters (Å, degrees): 12.5205 4.4479 10.7851 90.00 116.30 90.00
Space group C2/m (No. 12)
Inequivalent atoms, fractional coordinates:
Pr: 0.2191 0.0000 0.3563 x4
Nd: 0.0141 0.5000 0.6871 x4
Nd: 0.1805 0.5000 0.0871 x4
Si: 0.0258 0.0000 0.9029 x4
Si: 0.1066 0.0000 0.5565 x4

=====

No. 7
Computed X-ray diffraction stick pattern
Compound: LaScPa2S8
Radiation: Cu Kα (weighted mean of Kα1 and Kα2)
Structure: DFT lattice parameters and positions (GGA-PBE)

Top 12 peaks for 10° ≤ 2θ ≤ 90°, sorted by position:
2θ/deg, I/Imax
14.02, 35.7
14.43, 33.6
19.84, 100.0
20.50, 87.9
25.72, 58.7
25.95, 79.1
29.39, 40.4
38.37, 41.1
38.86, 47.7
39.11, 33.0
39.59, 41.8
48.48, 51.1

Lattice parameters (Å, degrees): 6.1400 8.2831 6.3192 90.00 91.86 90.00
Space group P2/m (No. 10)
Inequivalent atoms, fractional coordinates:
La: 0.0000 0.0000 0.0000 x1
Sc: 0.0000 0.5000 0.0000 x1
Pa: 0.5000 0.2557 0.5000 x2
S: 0.2265 0.2734 0.1738 x4
S: 0.2837 0.5000 0.6709 x2
S: 0.2879 0.0000 0.6481 x2

=====

No. 8
Computed X-ray diffraction stick pattern
Compound: CaLuAgIr
Radiation: Cu Kα (weighted mean of Kα1 and Kα2)
Structure: DFT lattice parameters and positions (GGA-PBE)

Top 12 peaks for 10° ≤ 2θ ≤ 90°, sorted by position:
2θ/deg, I/Imax
22.15, 19.8
25.64, 3.4
36.57, 100.0
43.17, 11.1
52.68, 17.4
57.83, 5.0
59.48, 1.3
65.83, 35.2
70.39, 3.8
77.73, 11.0
82.03, 3.9
89.10, 16.2

Lattice parameters (Å, degrees): 6.9498 6.9498 6.9498 90.00 90.00 90.00
Space group F-43m (No. 216)
Inequivalent atoms, fractional coordinates:
Ca: 0.0000 0.0000 0.0000 x4
Lu: 0.0000 0.0000 0.5000 x4
Ag: 0.2500 0.2500 0.7500 x4
Ir: 0.2500 0.2500 0.2500 x4

=====

Repeat the second record exactly.
Computed X-ray diffraction stick pattern
Compound: NdY2Rh4
Radiation: Cu Kα (weighted mean of Kα1 and Kα2)
Structure: DFT lattice parameters and positions (GGA-PBE)

Top 12 peaks for 10° ≤ 2θ ≤ 90°, sorted by position:
2θ/deg, I/Imax
13.11, 8.5
18.77, 11.1
29.83, 9.8
32.59, 5.7
37.88, 100.0
38.08, 49.7
54.35, 8.4
54.95, 16.8
68.28, 16.7
68.68, 33.6
80.96, 10.3
81.45, 5.3

Lattice parameters (Å, degrees): 4.7264 4.7264 6.7524 90.00 90.00 90.00
Space group P4/mmm (No. 123)
Inequivalent atoms, fractional coordinates:
Nd: 0.0000 0.0000 0.0000 x1
Y: 0.0000 0.0000 0.5000 x1
Y: 0.5000 0.5000 0.0000 x1
Rh: 0.0000 0.5000 0.2594 x4